# EuMgBiSbO6
Theoretical powder diffraction line list, Cu Kα (weighted mean of Kα1 and Kα2). Input: a crystal structure in the Materials Project, relaxed with GGA-PBE.
Lines closer than 0.1° are merged.

Cell and atoms:
a = 5.6813 Å, b = 5.6813 Å, c = 5.6813 Å
α = 60.00°, β = 60.00°, γ = 60.00°
Fractional coordinates of all 10 atoms:
Eu  0.0000  0.0000  0.0000
Mg  0.7500  0.7500  0.7500
Bi  0.5000  0.5000  0.5000
Sb  0.2500  0.2500  0.2500
O  0.0030  0.0030  0.4970
O  0.0030  0.4970  0.0030
O  0.0030  0.4970  0.4970
O  0.4970  0.0030  0.0030
O  0.4970  0.0030  0.4970
O  0.4970  0.4970  0.0030

Largest 10 diffraction maxima, by angle, 2θ = 15–90°:
- 2θ 19.1, d 4.639, intensity 12
- 2θ 22.1, d 4.017, intensity 16
- 2θ 31.5, d 2.841, intensity 100
- 2θ 37.1, d 2.423, intensity 7
- 2θ 38.8, d 2.319, intensity 16
- 2θ 45.1, d 2.009, intensity 30
- 2θ 50.8, d 1.797, intensity 8
- 2θ 56.1, d 1.640, intensity 40
- 2θ 65.7, d 1.420, intensity 18
- 2θ 74.7, d 1.270, intensity 18